Starting from the PBE geometry in the Materials Project, the PXRD pattern of FeAgSe2 was simulated for Cu Kα (weighted mean of Kα1 and Kα2).
Lines closer than 0.1° are merged.

Structural model:
a b c (Å): 5.915 5.915 10.815
angles (deg): 90.00 90.00 90.00
Sites, in units of the cell vectors:
Fe 0.000 0.000 0.000
Fe 0.000 0.500 0.250
Fe 0.500 0.000 0.750
Fe 0.500 0.500 0.500
Ag 0.000 0.000 0.500
Ag 0.000 0.500 0.750
Ag 0.500 0.000 0.250
Ag 0.500 0.500 0.000
Se 0.206 0.750 0.125
Se 0.250 0.206 0.875
Se 0.250 0.294 0.375
Se 0.294 0.750 0.625
Se 0.706 0.250 0.625
Se 0.750 0.706 0.375
Se 0.750 0.794 0.875
Se 0.794 0.250 0.125

Principal peaks in the range 10 to 90 degrees two-theta, sorted by position:
2θ = 26.9°, intensity 100
2θ = 43.3°, intensity 24
2θ = 45.5°, intensity 45
2θ = 51.7°, intensity 27
2θ = 55.5°, intensity 13
2θ = 80.9°, intensity 12